No. 1
Calculated XRD peak list
Compound: Li2AcNd2Sn2
Radiation: copper Kα
Structure: a DFT-relaxed cell (GGA-PBE, Alexandria)
Lines closer than 0.1° are merged.

```
data_Li2AcNd2Sn2
_chemical_formula_sum 'Li6 Ac3 Nd6 Sn6'
_cell_length_a 4.9150
_cell_length_b 4.9150
_cell_length_c 28.7809
_cell_angle_alpha 90.00
_cell_angle_beta 90.00
_cell_angle_gamma 120.00
_symmetry_space_group_name_H-M 'R -3 m'
_symmetry_Int_Tables_number 166
_symmetry_space_group_name_Hall '-R 3 2"'
loop_
_atom_site_label
_atom_site_fract_x
_atom_site_fract_y
_atom_site_fract_z
Li1 0.0000 0.0000 0.0856
Ac1 0.0000 0.0000 0.5000
Nd1 0.0000 0.0000 0.3683
Sn1 0.0000 0.0000 0.2422
```

Peak list (8 most intense, 2θ = 15–90°, by intensity)
2θ = 32.6°, rel. 1000, (0 1 8); 2θ = 21.1°, rel. 901, (1 0 1); 2θ = 36.6°, rel. 842, (1 1 0); 2θ = 30.2°, rel. 765, (1 0 7); 2θ = 49.8°, rel. 310, (2 0 8); 2θ = 63.3°, rel. 305, (1 2 8); 2θ = 61.3°, rel. 297, (1 1 15); 2θ = 48.1°, rel. 214, (0 2 7)

=====

No. 2
Calculated XRD peak list
Compound: Ho2Zn2HgPd5
Radiation: copper Kα
Structure: a DFT-relaxed cell (GGA-PBE, Alexandria)
Lines closer than 0.1° are merged.

```
data_Ho2Zn2HgPd5
_chemical_formula_sum 'Ho4 Zn4 Hg2 Pd10'
_cell_length_a 9.6740
_cell_length_b 9.6740
_cell_length_c 3.8422
_cell_angle_alpha 90.00
_cell_angle_beta 90.00
_cell_angle_gamma 90.00
_symmetry_space_group_name_H-M 'P 4/m b m'
_symmetry_Int_Tables_number 127
_symmetry_space_group_name_Hall '-P 4 2ab'
loop_
_atom_site_label
_atom_site_fract_x
_atom_site_fract_y
_atom_site_fract_z
Ho1 0.1778 0.3222 0.0000
Zn1 0.1187 0.6187 0.0000
Hg1 0.0000 0.0000 0.0000
Pd1 0.0000 0.5000 0.5000
Pd2 0.0715 0.7925 0.5000
```

Peak list (8 most intense, 2θ = 15–90°, by intensity)
2θ = 37.6°, rel. 1000, (3 1 1); 2θ = 38.4°, rel. 393, (4 1 0); 2θ = 35.1°, rel. 295, (2 2 1); 2θ = 41.0°, rel. 290, (3 2 1); 2θ = 62.5°, rel. 268, (4 1 2); 2θ = 31.1°, rel. 250, (2 1 1); 2θ = 47.3°, rel. 230, (0 0 2); 2θ = 41.8°, rel. 186, (4 2 0)

=====

No. 3
Calculated XRD peak list
Compound: CsIrS2O8
Radiation: copper Kα
Structure: a DFT-relaxed cell (GGA-PBE, Alexandria)
Lines closer than 0.1° are merged.

```
data_CsIrS2O8
_chemical_formula_sum 'Cs3 Ir3 S6 O24'
_cell_length_a 4.8573
_cell_length_b 4.8573
_cell_length_c 27.4773
_cell_angle_alpha 90.00
_cell_angle_beta 90.00
_cell_angle_gamma 120.00
_symmetry_space_group_name_H-M 'R -3'
_symmetry_Int_Tables_number 148
_symmetry_space_group_name_Hall '-R 3'
loop_
_atom_site_label
_atom_site_fract_x
_atom_site_fract_y
_atom_site_fract_z
Cs1 0.0000 0.0000 0.0000
Ir1 0.0000 0.0000 0.5000
S1 0.0000 0.0000 0.2295
O1 0.0000 0.0000 0.2828
O2 0.0228 0.3049 0.2121
```

Peak list (8 most intense, 2θ = 15–90°, by intensity)
2θ = 24.8°, rel. 1000, (1 0 4); 2θ = 22.1°, rel. 315, (0 1 2); 2θ = 33.7°, rel. 299, (0 1 8); 2θ = 37.0°, rel. 277, (1 1 0); 2θ = 42.1°, rel. 233, (2 -1 6); 2θ = 19.4°, rel. 195, (0 0 6); 2θ = 39.2°, rel. 179, (1 0 10); 2θ = 45.1°, rel. 156, (0 2 4)

=====

No. 4
Calculated XRD peak list
Compound: CsPm2Hg2O6
Radiation: copper Kα
Structure: a DFT-relaxed cell (GGA-PBE, Alexandria)
Lines closer than 0.1° are merged.

```
data_CsPm2Hg2O6
_chemical_formula_sum 'Cs1 Pm2 Hg2 O6'
_cell_length_a 6.7971
_cell_length_b 6.8324
_cell_length_c 7.3784
_cell_angle_alpha 96.56
_cell_angle_beta 110.39
_cell_angle_gamma 119.13
_symmetry_space_group_name_H-M 'P -1'
_symmetry_Int_Tables_number 2
loop_
_symmetry_equiv_pos_as_xyz
'x,y,z'
'-x,-y,-z'
loop_
_atom_site_label
_atom_site_fract_x
_atom_site_fract_y
_atom_site_fract_z
Cs1 0.0000 0.0000 0.0000
Pm1 0.3407 0.6713 0.0118
Hg1 0.2132 0.7762 0.4967
O1 0.1007 0.6438 0.1958
O2 0.3304 0.9150 0.7973
O3 0.4853 0.5181 0.8403
```

Peak list (8 most intense, 2θ = 15–90°, by intensity)
2θ = 15.3°, rel. 1000, (1 -1 0); 2θ = 29.2°, rel. 956, (1 1 0); 2θ = 29.4°, rel. 932, (1 1 -2); 2θ = 27.5°, rel. 845, (0 0 2); 2θ = 26.5°, rel. 672, (-2 1 1); 2θ = 28.2°, rel. 637, (1 -2 1); 2θ = 18.9°, rel. 413, (-1 1 1); 2θ = 35.8°, rel. 367, (2 -1 1)

=====

No. 5
Calculated XRD peak list
Compound: KAs6Pd12
Radiation: copper Kα
Structure: a DFT-relaxed cell (GGA-PBE, Alexandria)
Lines closer than 0.1° are merged.

```
data_KAs6Pd12
_chemical_formula_sum 'K3 As18 Pd36'
_cell_length_a 11.4931
_cell_length_b 11.4931
_cell_length_c 9.1282
_cell_angle_alpha 90.00
_cell_angle_beta 90.00
_cell_angle_gamma 120.00
_symmetry_space_group_name_H-M 'R -3 m'
_symmetry_Int_Tables_number 166
_symmetry_space_group_name_Hall '-R 3 2"'
loop_
_atom_site_label
_atom_site_fract_x
_atom_site_fract_y
_atom_site_fract_z
K1 0.0000 0.0000 0.0000
As1 0.0436 0.5218 0.2828
Pd1 0.0000 0.3740 0.5000
Pd2 0.0914 0.1828 0.3581
```

Peak list (8 most intense, 2θ = 15–90°, by intensity)
2θ = 33.9°, rel. 1000, (1 3 1); 2θ = 40.2°, rel. 920, (3 0 3); 2θ = 41.3°, rel. 532, (0 4 2); 2θ = 40.7°, rel. 532, (3 2 1); 2θ = 50.0°, rel. 462, (5 0 2); 2θ = 15.4°, rel. 438, (1 1 0); 2θ = 33.3°, rel. 370, (1 1 3); 2θ = 47.5°, rel. 272, (3 3 0)

=====

No. 6
Calculated XRD peak list
Compound: Na3UI7
Radiation: copper Kα
Structure: a DFT-relaxed cell (GGA-PBE, Alexandria)
Lines closer than 0.1° are merged.

```
data_Na3UI7
_chemical_formula_sum 'Na12 U4 I28'
_cell_length_a 9.4692
_cell_length_b 17.9211
_cell_length_c 12.3745
_cell_angle_alpha 90.00
_cell_angle_beta 90.00
_cell_angle_gamma 90.00
_symmetry_space_group_name_H-M 'C 2 2 21'
_symmetry_Int_Tables_number 20
loop_
_symmetry_equiv_pos_as_xyz
'x,y,z'
'-x,-y,z+1/2'
'x,-y,-z'
'-x,y,-z+1/2'
'x+1/2,y+1/2,z'
'-x+1/2,-y+1/2,z+1/2'
'x+1/2,-y+1/2,-z'
'-x+1/2,y+1/2,-z+1/2'
loop_
_atom_site_label
_atom_site_fract_x
_atom_site_fract_y
_atom_site_fract_z
Na1 0.9997 0.0000 0.0000
Na2 0.2332 0.3377 0.2496
U1 0.9997 0.5000 0.0000
I1 0.0000 0.0637 0.7500
I2 0.0000 0.2267 0.2500
I3 0.0000 0.4803 0.2500
I4 0.2209 0.3828 0.9780
I5 0.2218 0.3829 0.5216
```

Peak list (8 most intense, 2θ = 15–90°, by intensity)
2θ = 27.4°, rel. 1000, (2 4 0); 2θ = 40.2°, rel. 710, (2 4 4); 2θ = 23.7°, rel. 628, (2 0 2); 2θ = 28.9°, rel. 591, (0 0 4); 2θ = 17.8°, rel. 448, (1 1 2); 2θ = 48.4°, rel. 382, (4 0 4); 2θ = 31.1°, rel. 331, (2 4 2); 2θ = 38.0°, rel. 254, (4 0 0)

=====

No. 7
Calculated XRD peak list
Compound: Ag2Pt2Cl7
Radiation: copper Kα
Structure: a DFT-relaxed cell (GGA-PBE, Alexandria)
Lines closer than 0.1° are merged.

```
data_Ag2Pt2Cl7
_chemical_formula_sum 'Ag8 Pt8 Cl28'
_cell_length_a 10.2425
_cell_length_b 12.3507
_cell_length_c 10.6984
_cell_angle_alpha 90.00
_cell_angle_beta 116.59
_cell_angle_gamma 90.00
_symmetry_space_group_name_H-M 'C 1 2/c 1'
_symmetry_Int_Tables_number 15
loop_
_symmetry_equiv_pos_as_xyz
'x,y,z'
'-x,-y,-z'
'-x,y,-z+1/2'
'x,-y,z+1/2'
'x+1/2,y+1/2,z'
'-x+1/2,-y+1/2,-z'
'-x+1/2,y+1/2,-z+1/2'
'x+1/2,-y+1/2,z+1/2'
loop_
_atom_site_label
_atom_site_fract_x
_atom_site_fract_y
_atom_site_fract_z
Ag1 0.0006 0.1606 0.9996
Pt1 0.1293 0.5001 0.1081
Cl1 0.0000 0.4998 0.2500
Cl2 0.1296 0.0001 0.1666
Cl3 0.1763 0.3192 0.6005
Cl4 0.1771 0.3196 0.1001
```

Peak list (8 most intense, 2θ = 15–90°, by intensity)
2θ = 20.0°, rel. 1000, (2 0 -2); 2θ = 23.7°, rel. 433, (1 3 0); 2θ = 42.3°, rel. 286, (3 3 -4); 2θ = 25.6°, rel. 258, (1 1 2); 2θ = 27.4°, rel. 223, (1 3 -2); 2θ = 35.7°, rel. 212, (2 2 2); 2θ = 18.1°, rel. 210, (1 1 -2); 2θ = 30.2°, rel. 205, (3 1 0)

=====

No. 8
Calculated XRD peak list
Compound: Pu2P4IrRh3
Radiation: copper Kα
Structure: a DFT-relaxed cell (GGA-PBE, Alexandria)
Lines closer than 0.1° are merged.

```
data_Pu2P4IrRh3
_chemical_formula_sum 'Pu2 P4 Ir1 Rh3'
_cell_length_a 4.1285
_cell_length_b 4.1285
_cell_length_c 9.5584
_cell_angle_alpha 90.00
_cell_angle_beta 90.00
_cell_angle_gamma 90.00
_symmetry_space_group_name_H-M 'P -4 m 2'
_symmetry_Int_Tables_number 115
loop_
_symmetry_equiv_pos_as_xyz
'x,y,z'
'y,-x,-z'
'-x,-y,z'
'-y,x,-z'
'-x,y,z'
'-y,-x,-z'
'x,-y,z'
'y,x,-z'
loop_
_atom_site_label
_atom_site_fract_x
_atom_site_fract_y
_atom_site_fract_z
Pu1 0.0000 0.5000 0.2394
P1 0.0000 0.0000 0.0000
P2 0.0000 0.5000 0.6404
P3 0.5000 0.5000 0.0000
Ir1 0.0000 0.0000 0.5000
Rh1 0.0000 0.5000 0.8861
Rh2 0.5000 0.5000 0.5000
```

Peak list (8 most intense, 2θ = 15–90°, by intensity)
2θ = 36.1°, rel. 1000, (1 1 2); 2θ = 35.6°, rel. 723, (1 0 3); 2θ = 43.9°, rel. 584, (2 0 0); 2θ = 57.7°, rel. 384, (2 1 3); 2θ = 23.5°, rel. 372, (1 0 1); 2θ = 32.1°, rel. 315, (1 1 1); 2θ = 52.8°, rel. 269, (1 0 5); 2θ = 75.5°, rel. 240, (3 1 2)

=====

No. 9
Calculated XRD peak list
Compound: UTcB
Radiation: copper Kα
Structure: a DFT-relaxed cell (GGA-PBE, Alexandria)
Lines closer than 0.1° are merged.

```
data_UTcB
_chemical_formula_sum 'U4 Tc4 B4'
_cell_length_a 5.6458
_cell_length_b 5.9432
_cell_length_c 5.2942
_cell_angle_alpha 90.00
_cell_angle_beta 90.00
_cell_angle_gamma 90.00
_symmetry_space_group_name_H-M 'P c a 21'
_symmetry_Int_Tables_number 29
loop_
_symmetry_equiv_pos_as_xyz
'x,y,z'
'-x,-y,z+1/2'
'-x+1/2,y,z+1/2'
'x+1/2,-y,z'
loop_
_atom_site_label
_atom_site_fract_x
_atom_site_fract_y
_atom_site_fract_z
U1 0.1670 0.1069 0.0000
Tc1 0.1174 0.5988 0.7697
B1 0.0433 0.7074 0.1403
```

Peak list (8 most intense, 2θ = 15–90°, by intensity)
2θ = 34.1°, rel. 1000, (1 2 0); 2θ = 37.2°, rel. 800, (0 1 2); 2θ = 36.1°, rel. 703, (2 0 1); 2θ = 39.2°, rel. 557, (2 1 1); 2θ = 40.6°, rel. 491, (1 1 2); 2θ = 38.2°, rel. 428, (1 2 1); 2θ = 60.6°, rel. 343, (1 3 2); 2θ = 60.8°, rel. 326, (3 2 1)

=====

No. 10
Calculated XRD peak list
Compound: Cs2NaHg4
Radiation: copper Kα
Structure: a DFT-relaxed cell (GGA-PBE, Alexandria)
Lines closer than 0.1° are merged.

```
data_Cs2NaHg4
_chemical_formula_sum 'Cs4 Na2 Hg8'
_cell_length_a 6.9225
_cell_length_b 17.4678
_cell_length_c 5.3931
_cell_angle_alpha 90.00
_cell_angle_beta 90.00
_cell_angle_gamma 90.00
_symmetry_space_group_name_H-M 'C m m m'
_symmetry_Int_Tables_number 65
_symmetry_space_group_name_Hall '-C 2 2'
loop_
_atom_site_label
_atom_site_fract_x
_atom_site_fract_y
_atom_site_fract_z
Cs1 0.0000 0.1553 0.0000
Na1 0.0000 0.5000 0.5000
Hg1 0.0000 0.3178 0.5000
Hg2 0.0000 0.4104 0.0000
```

Peak list (8 most intense, 2θ = 15–90°, by intensity)
2θ = 33.2°, rel. 1000, (0 0 2); 2θ = 25.9°, rel. 657, (1 3 1); 2θ = 25.7°, rel. 615, (2 0 0); 2θ = 42.5°, rel. 329, (2 0 2); 2θ = 50.3°, rel. 213, (3 5 1); 2θ = 20.3°, rel. 202, (0 4 0); 2θ = 19.3°, rel. 197, (0 2 1); 2θ = 26.3°, rel. 169, (0 4 1)